# Ba2Cr3O8
Simulated PXRD pattern, Cu Kα X-rays. Input: the GGA+U geometry in Alexandria.
Kinematic intensities with the Lorentz-polarization factor, no thermal factor.

Peak list (12 most intense, 10 to 90 degrees two-theta, by angle)
(0 0 2), 13.86°, I = 325; (1 0 1), 24.03°, I = 145; (1 0 3), 31.23°, I = 1000; (1 1 0), 32.72°, I = 380; (1 1 1), 33.49°, I = 146; (1 0 4), 36.47°, I = 134; (1 1 3), 39.13°, I = 204; (0 0 6), 42.44°, I = 252; (2 0 0), 46.96°, I = 311; (1 1 6), 54.61°, I = 154; (2 1 3), 57.48°, I = 339; (2 0 6), 65.13°, I = 223

Lattice parameters (Å, degrees): 3.870 3.870 12.776 90.00 90.00 90.00
Fractional positions:
Ba  0.000  0.000  0.164
Ba  0.000  0.000  0.836
Cr  0.500  0.500  0.000
Cr  0.500  0.500  0.315
Cr  0.500  0.500  0.685
O  0.000  0.500  0.000
O  0.000  0.500  0.329
O  0.000  0.500  0.671
O  0.500  0.000  0.000
O  0.500  0.000  0.329
O  0.500  0.000  0.671
O  0.500  0.500  0.164
O  0.500  0.500  0.836